Entry 1:
For NaFe8O12, a structure optimized by DFT (PBE+U) gives the theoretical powder diffraction line list in this record (Cu Kα X-rays).
No peak broadening, texture or thermal motion is included.

Unit cell a=6.0819 b=6.0819 c=14.8004 alpha=90.49 beta=90.49 gamma=59.82
Fractional coordinates of all 42 atoms:
Na 0.0000 0.0000 0.0000
Na 0.5000 0.5000 0.5000
Fe 0.0000 0.5000 0.5000
Fe 0.0086 0.0086 0.6203
Fe 0.1676 0.1676 0.1679
Fe 0.1695 0.6676 0.1692
Fe 0.3295 0.3295 0.3354
Fe 0.3299 0.3299 0.7071
Fe 0.3324 0.3324 0.9520
Fe 0.3324 0.8305 0.8308
Fe 0.5000 0.0000 0.5000
Fe 0.6676 0.1695 0.1692
Fe 0.6676 0.6676 0.0480
Fe 0.6701 0.6701 0.2929
Fe 0.6705 0.6705 0.6646
Fe 0.8305 0.3324 0.8308
Fe 0.8324 0.8324 0.8321
Fe 0.9914 0.9914 0.3797
O 0.0016 0.0016 0.2425
O 0.0212 0.4901 0.2457
O 0.1496 0.6479 0.4133
O 0.1637 0.1637 0.9035
O 0.1647 0.6696 0.9039
O 0.1672 0.1672 0.4237
O 0.3239 0.3239 0.5801
O 0.3304 0.8353 0.0961
O 0.3340 0.3340 0.0895
O 0.3521 0.8504 0.5867
O 0.4901 0.0212 0.2457
O 0.4935 0.4935 0.2464
O 0.5065 0.5065 0.7536
O 0.5099 0.9788 0.7543
O 0.6479 0.1496 0.4133
O 0.6660 0.6660 0.9105
O 0.6696 0.1647 0.9039
O 0.6761 0.6761 0.4199
O 0.8328 0.8328 0.5763
O 0.8353 0.3304 0.0961
O 0.8363 0.8363 0.0965
O 0.8504 0.3521 0.5867
O 0.9788 0.5099 0.7543
O 0.9984 0.9984 0.7575

Top 10 peaks for 2θ from 10° to 80°, by angle:
2θ (°), intensity
17.95, 26
29.42, 74
34.51, 72
34.66, 89
34.75, 100
34.86, 46
42.27, 39
55.84, 28
60.93, 47
61.11, 70

---

Entry 2:
For BaVSi2O7, a structure optimized by DFT (PBE+U) gives the theoretical powder diffraction line list in this record (Cu Kα X-rays).
No peak broadening, texture or thermal motion is included.

Unit cell a=7.1901 b=8.2121 c=8.2121 alpha=141.41 beta=90.00 gamma=90.00
Fractional coordinates of all 22 atoms:
Ba 0.2500 0.2063 0.7937
Ba 0.7500 0.7937 0.2063
V 0.2500 0.8886 0.1009
V 0.7500 0.1009 0.8886
Si 0.0239 0.6017 0.3948
Si 0.4761 0.6017 0.3948
Si 0.5239 0.3948 0.6017
Si 0.9761 0.3948 0.6017
O 0.0000 0.5006 0.5006
O 0.0609 0.5960 0.8942
O 0.0620 0.1021 0.3940
O 0.2500 0.6268 0.3665
O 0.2500 0.9803 0.9811
O 0.4380 0.1021 0.3940
O 0.4391 0.5960 0.8942
O 0.5000 0.5006 0.5006
O 0.5609 0.8942 0.5960
O 0.5620 0.3940 0.1021
O 0.7500 0.3665 0.6268
O 0.7500 0.9811 0.9803
O 0.9380 0.3940 0.1021
O 0.9391 0.8942 0.5960

Top 10 peaks for 2θ from 10° to 80°, by angle:
2θ (°), intensity
11.42, 34
21.30, 42
26.12, 34
26.86, 100
30.38, 61
33.01, 30
33.28, 25
36.97, 24
41.67, 34
42.57, 27

---

Entry 3:
For SrMgFeP2O8, a structure optimized by DFT (PBE+U) gives the theoretical powder diffraction line list in this record (Cu Kα X-rays).
No peak broadening, texture or thermal motion is included.

Unit cell a=5.5889 b=6.7890 c=9.5050 alpha=110.22 beta=101.64 gamma=98.17
Fractional coordinates of all 26 atoms:
Sr 0.2432 0.2008 0.4474
Sr 0.7568 0.7992 0.5526
Mg 0.4966 0.4014 0.1479
Mg 0.5034 0.5986 0.8521
Fe 0.1304 0.8451 0.0557
Fe 0.8696 0.1549 0.9443
P 0.1108 0.5787 0.2665
P 0.3452 0.0258 0.8022
P 0.6548 0.9742 0.1978
P 0.8892 0.4213 0.7335
O 0.1221 0.9508 0.8622
O 0.1276 0.4150 0.1060
O 0.1518 0.4765 0.7078
O 0.1614 0.8078 0.2670
O 0.2522 0.0015 0.6334
O 0.3267 0.5530 0.3851
O 0.4550 0.1150 0.1851
O 0.4880 0.2641 0.9172
O 0.5120 0.7359 0.0828
O 0.5450 0.8850 0.8149
O 0.6733 0.4470 0.6149
O 0.7478 0.9985 0.3666
O 0.8386 0.1922 0.7330
O 0.8482 0.5235 0.2922
O 0.8724 0.5850 0.8940
O 0.8779 0.0492 0.1378

Top 10 peaks for 2θ from 10° to 80°, by angle:
2θ (°), intensity
22.41, 25
27.66, 22
28.27, 100
29.20, 26
30.32, 61
30.76, 22
31.22, 50
32.40, 52
33.42, 22
33.80, 36

---

Entry 4:
For Li3FeO3, a structure optimized by DFT (PBE+U) gives the theoretical powder diffraction line list in this record (Cu Kα X-rays).
No peak broadening, texture or thermal motion is included.

Unit cell a=3.5743 b=9.0826 c=9.0847 alpha=90.00 beta=90.00 gamma=90.00
Fractional coordinates of all 28 atoms:
Li 0.0000 0.0763 0.0000
Li 0.0000 0.1045 0.5716
Li 0.0000 0.3886 0.7635
Li 0.0000 0.4192 0.3437
Li 0.0000 0.6585 0.0260
Li 0.0000 0.8506 0.3104
Li 0.5000 0.1494 0.8104
Li 0.5000 0.3415 0.5260
Li 0.5000 0.5808 0.8437
Li 0.5000 0.6114 0.2635
Li 0.5000 0.8955 0.0716
Li 0.5000 0.9237 0.5000
Fe 0.0000 0.6343 0.5537
Fe 0.0000 0.8665 0.7859
Fe 0.5000 0.1335 0.2859
Fe 0.5000 0.3657 0.0537
O 0.0000 0.0703 0.7828
O 0.0000 0.4264 0.5587
O 0.0000 0.6404 0.3453
O 0.0000 0.6530 0.7744
O 0.0000 0.8542 0.5729
O 0.0000 0.8643 0.9893
O 0.5000 0.1357 0.4893
O 0.5000 0.1458 0.0729
O 0.5000 0.3470 0.2745
O 0.5000 0.3596 0.8453
O 0.5000 0.5736 0.0587
O 0.5000 0.9297 0.2828

Top 10 peaks for 2θ from 10° to 80°, by angle:
2θ (°), intensity
13.79, 49
21.88, 41
26.80, 100
28.58, 34
39.69, 43
48.54, 23
51.11, 14
56.85, 29
66.59, 15
71.56, 16

---

Entry 5:
For LiNi2OF3, a structure optimized by DFT (PBE+U) gives the theoretical powder diffraction line list in this record (Cu Kα X-rays).
No peak broadening, texture or thermal motion is included.

Unit cell a=5.9421 b=5.9421 c=5.0528 alpha=90.00 beta=90.00 gamma=120.00
Fractional coordinates of all 14 atoms:
Li 0.3333 0.6667 0.4711
Li 0.6667 0.3333 0.5289
Ni 0.0000 0.0000 0.5000
Ni 0.0000 0.5000 0.0000
Ni 0.5000 0.0000 0.0000
Ni 0.5000 0.5000 0.0000
O 0.3333 0.6667 0.8324
O 0.6667 0.3333 0.1676
F 0.1689 0.3377 0.2751
F 0.1689 0.8311 0.2751
F 0.3377 0.1689 0.7249
F 0.6623 0.8311 0.2751
F 0.8311 0.1689 0.7249
F 0.8311 0.6623 0.7249

Top 10 peaks for 2θ from 10° to 80°, by angle:
2θ (°), intensity
17.55, 28
24.69, 100
34.87, 34
35.04, 29
39.29, 51
50.26, 26
50.64, 69
62.52, 28
63.49, 11
68.29, 9

---

Entry 6:
For Ni2Ag3O4, a structure optimized by DFT (PBE+U) gives the theoretical powder diffraction line list in this record (Cu Kα X-rays).
No peak broadening, texture or thermal motion is included.

Unit cell a=3.0100 b=3.0100 c=28.0426 alpha=90.00 beta=90.00 gamma=120.00
Fractional coordinates of all 18 atoms:
Ni 0.3333 0.6667 0.1409
Ni 0.3333 0.6667 0.3591
Ni 0.6667 0.3333 0.6409
Ni 0.6667 0.3333 0.8591
Ag 0.3333 0.6667 0.5407
Ag 0.3333 0.6667 0.7500
Ag 0.3333 0.6667 0.9593
Ag 0.6667 0.3333 0.0407
Ag 0.6667 0.3333 0.2500
Ag 0.6667 0.3333 0.4593
O 0.0000 0.0000 0.1019
O 0.0000 0.0000 0.3981
O 0.0000 0.0000 0.6019
O 0.0000 0.0000 0.8981
O 0.3333 0.6667 0.6766
O 0.3333 0.6667 0.8234
O 0.6667 0.3333 0.1766
O 0.6667 0.3333 0.3234

Top 10 peaks for 2θ from 10° to 80°, by angle:
2θ (°), intensity
31.91, 27
34.40, 22
38.07, 100
41.32, 10
45.32, 10
47.63, 20
60.99, 17
61.63, 22
71.09, 15
74.78, 13